# 1
Sm3Sn2Pd7: theoretical powder X-ray diffraction pattern (λ = 1.5418 Å (Cu Kα)), based on the PBE geometry in Alexandria.
Kinematic intensities with the Lorentz-polarization factor, no thermal factor.

Structural model:
a = 14.988 Å, b = 14.988 Å, c = 14.988 Å
α = 164.16°, β = 164.16°, γ = 22.47°
Element x y z (fractional)
Sm: 0.000 0.000 0.000
Sm: 0.180 0.180 0.000
Sm: 0.820 0.820 0.000
Sn: 0.371 0.371 0.000
Sn: 0.629 0.629 0.000
Pd: 0.072 0.572 0.500
Pd: 0.278 0.278 0.000
Pd: 0.428 0.928 0.500
Pd: 0.500 0.500 0.000
Pd: 0.572 0.072 0.500
Pd: 0.722 0.722 0.000
Pd: 0.928 0.428 0.500

Most intense lines, 2θ = 10–90°, by angle:
2θ 30.61, I = 36
2θ 35.02, I = 41
2θ 35.79, I = 100
2θ 39.40, I = 43
2θ 40.18, I = 57
2θ 43.83, I = 83

***

# 2
CsLiCdSe: theoretical powder X-ray diffraction pattern (λ = 1.5418 Å (Cu Kα)), based on the PBE geometry in Alexandria.
Kinematic intensities with the Lorentz-polarization factor, no thermal factor.

Structural model:
a = 4.358 Å, b = 4.358 Å, c = 14.336 Å
α = 90.00°, β = 90.00°, γ = 90.00°
Element x y z (fractional)
Cs: 0.250 0.250 0.220
Cs: 0.750 0.750 0.780
Li: 0.250 0.750 0.000
Li: 0.750 0.250 0.000
Cd: 0.250 0.750 0.500
Cd: 0.750 0.250 0.500
Se: 0.250 0.250 0.899
Se: 0.750 0.750 0.101

Most intense lines, 2θ = 10–90°, by angle:
2θ 18.57, I = 80
2θ 27.70, I = 100
2θ 29.65, I = 96
2θ 31.60, I = 97
2θ 41.44, I = 52
2θ 43.15, I = 39

***

# 3
Cu8Re: theoretical powder X-ray diffraction pattern (λ = 1.5418 Å (Cu Kα)), based on the PBE geometry in Alexandria.
Kinematic intensities with the Lorentz-polarization factor, no thermal factor.

Structural model:
a = 6.650 Å, b = 6.650 Å, c = 6.650 Å
α = 92.25°, β = 92.25°, γ = 157.16°
Element x y z (fractional)
Cu: 0.000 0.333 0.333
Cu: 0.000 0.667 0.667
Cu: 0.329 0.329 0.659
Cu: 0.329 0.671 0.000
Cu: 0.333 0.000 0.333
Cu: 0.667 0.000 0.667
Cu: 0.671 0.329 0.000
Cu: 0.671 0.671 0.341
Re: 0.000 0.000 0.000

Most intense lines, 2θ = 10–90°, by angle:
2θ 13.58, I = 21
2θ 41.56, I = 65
2θ 45.35, I = 100
2θ 60.23, I = 20
2θ 78.50, I = 36
2θ 86.39, I = 14

***

# 4
PmGdAgRh: theoretical powder X-ray diffraction pattern (λ = 1.5418 Å (Cu Kα)), based on the PBE geometry in Alexandria.
Kinematic intensities with the Lorentz-polarization factor, no thermal factor.

Structural model:
a = 7.180 Å, b = 7.180 Å, c = 7.180 Å
α = 90.00°, β = 90.00°, γ = 90.00°
Element x y z (fractional)
Pm: 0.000 0.000 0.000
Pm: 0.000 0.500 0.500
Pm: 0.500 0.000 0.500
Pm: 0.500 0.500 0.000
Gd: 0.000 0.000 0.500
Gd: 0.000 0.500 0.000
Gd: 0.500 0.000 0.000
Gd: 0.500 0.500 0.500
Ag: 0.250 0.250 0.750
Ag: 0.250 0.750 0.250
Ag: 0.750 0.250 0.250
Ag: 0.750 0.750 0.750
Rh: 0.250 0.250 0.250
Rh: 0.250 0.750 0.750
Rh: 0.750 0.250 0.750
Rh: 0.750 0.750 0.250

Most intense lines, 2θ = 10–90°, by angle:
2θ 24.80, I = 3
2θ 35.36, I = 100
2θ 50.87, I = 18
2θ 63.47, I = 36
2θ 74.80, I = 11
2θ 85.54, I = 16

***

# 5
Ba2Cu2O5: theoretical powder X-ray diffraction pattern (λ = 1.5418 Å (Cu Kα)), based on the PBE geometry in Alexandria.
Kinematic intensities with the Lorentz-polarization factor, no thermal factor.

Structural model:
a = 11.003 Å, b = 4.190 Å, c = 13.944 Å
α = 90.00°, β = 90.00°, γ = 90.00°
Element x y z (fractional)
Ba: 0.048 0.199 0.000
Ba: 0.204 0.191 0.322
Ba: 0.296 0.691 0.822
Ba: 0.452 0.699 0.500
Ba: 0.548 0.301 0.000
Ba: 0.704 0.309 0.322
Ba: 0.796 0.809 0.822
Ba: 0.952 0.801 0.500
Cu: 0.014 0.323 0.707
Cu: 0.235 0.176 0.617
Cu: 0.265 0.676 0.117
Cu: 0.486 0.823 0.207
Cu: 0.514 0.177 0.707
Cu: 0.735 0.324 0.617
Cu: 0.765 0.824 0.117
Cu: 0.986 0.677 0.207
O: 0.045 0.693 0.331
O: 0.081 0.310 0.583
O: 0.125 0.478 0.161
O: 0.168 0.183 0.741
O: 0.206 0.698 0.993
O: 0.294 0.198 0.493
O: 0.332 0.683 0.241
O: 0.375 0.978 0.661
O: 0.419 0.810 0.083
O: 0.455 0.193 0.831
O: 0.545 0.807 0.331
O: 0.581 0.190 0.583
O: 0.625 0.022 0.161
O: 0.668 0.317 0.741
O: 0.706 0.802 0.993
O: 0.794 0.302 0.493
O: 0.832 0.817 0.241
O: 0.875 0.522 0.661
O: 0.919 0.690 0.083
O: 0.955 0.307 0.831

Most intense lines, 2θ = 10–90°, by angle:
2θ 25.08, I = 34
2θ 27.51, I = 100
2θ 28.68, I = 77
2θ 30.35, I = 49
2θ 41.34, I = 34
2θ 53.62, I = 33

***

# 6
Li4Ho3GaS8: theoretical powder X-ray diffraction pattern (λ = 1.5418 Å (Cu Kα)), based on the PBE geometry in Alexandria.
Kinematic intensities with the Lorentz-polarization factor, no thermal factor.

Structural model:
a = 7.576 Å, b = 7.576 Å, c = 7.578 Å
α = 119.43°, β = 119.43°, γ = 60.57°
Element x y z (fractional)
Li: 0.000 0.000 0.000
Li: 0.000 0.500 0.500
Li: 0.500 0.000 0.500
Li: 0.500 0.500 0.000
Ho: 0.000 0.000 0.500
Ho: 0.000 0.500 0.000
Ho: 0.500 0.000 0.000
Ga: 0.500 0.500 0.500
S: 0.250 0.250 0.750
S: 0.260 0.260 0.265
S: 0.261 0.733 0.739
S: 0.267 0.739 0.261
S: 0.733 0.261 0.739
S: 0.739 0.267 0.261
S: 0.740 0.740 0.735
S: 0.750 0.750 0.250

Most intense lines, 2θ = 10–90°, by angle:
2θ 14.38, I = 100
2θ 27.39, I = 68
2θ 33.31, I = 96
2θ 36.44, I = 30
2θ 47.60, I = 34
2θ 48.04, I = 33

***

# 7
Sm2Ga3Pd5: theoretical powder X-ray diffraction pattern (λ = 1.5418 Å (Cu Kα)), based on the PBE geometry in Alexandria.
Kinematic intensities with the Lorentz-polarization factor, no thermal factor.

Structural model:
a = 12.775 Å, b = 12.775 Å, c = 6.829 Å
α = 90.00°, β = 90.00°, γ = 160.87°
Element x y z (fractional)
Sm: 0.026 0.974 0.500
Sm: 0.325 0.675 0.461
Sm: 0.675 0.325 0.961
Sm: 0.974 0.026 0.000
Ga: 0.127 0.873 0.276
Ga: 0.282 0.718 0.910
Ga: 0.455 0.545 0.311
Ga: 0.545 0.455 0.811
Ga: 0.718 0.282 0.410
Ga: 0.873 0.127 0.776
Pd: 0.097 0.903 0.874
Pd: 0.196 0.804 0.635
Pd: 0.227 0.773 0.214
Pd: 0.381 0.619 0.042
Pd: 0.441 0.559 0.685
Pd: 0.559 0.441 0.185
Pd: 0.619 0.381 0.542
Pd: 0.773 0.227 0.714
Pd: 0.804 0.196 0.135
Pd: 0.903 0.097 0.374

Most intense lines, 2θ = 10–90°, by angle:
2θ 35.23, I = 100
2θ 35.39, I = 90
2θ 38.07, I = 30
2θ 38.25, I = 50
2θ 42.22, I = 26
2θ 42.59, I = 53

***

# 8
CsLaO2: theoretical powder X-ray diffraction pattern (λ = 1.5418 Å (Cu Kα)), based on the PBE geometry in Alexandria.
Kinematic intensities with the Lorentz-polarization factor, no thermal factor.

Structural model:
a = 6.844 Å, b = 4.420 Å, c = 12.349 Å
α = 90.00°, β = 90.00°, γ = 90.00°
Element x y z (fractional)
Cs: 0.059 0.250 0.132
Cs: 0.441 0.750 0.632
Cs: 0.559 0.250 0.368
Cs: 0.941 0.750 0.868
La: 0.055 0.750 0.378
La: 0.445 0.250 0.878
La: 0.555 0.750 0.122
La: 0.945 0.250 0.622
O: 0.121 0.250 0.445
O: 0.182 0.250 0.751
O: 0.318 0.750 0.251
O: 0.379 0.750 0.945
O: 0.621 0.250 0.055
O: 0.682 0.250 0.749
O: 0.818 0.750 0.249
O: 0.879 0.750 0.555

Most intense lines, 2θ = 10–90°, by angle:
2θ 26.04, I = 19
2θ 28.04, I = 100
2θ 28.92, I = 24
2θ 39.30, I = 15
2θ 45.32, I = 14
2θ 50.74, I = 31